Entry 1:
Structure and theoretical powder XRD pattern of Sc5As2P2 (a structure optimized by DFT (PBE); Cu Ka).

Most intense lines, 2θ = 10–90°, by angle:
hkl 3 1 2, 2.595 Å, I 76; hkl 0 2 2, 2.516 Å, I 78; hkl 5 1 1, 2.365 Å, I 100; hkl 4 2 1, 2.305 Å, I 71; hkl 1 1 3, 2.225 Å, I 71; hkl 1 3 1, 2.214 Å, I 70

Crystal structure
Cell lengths 13.395, 7.094, 7.141 Å; angles 90.00, 90.00, 90.00 degrees
Space group Cmce (No. 64)
Inequivalent atoms, fractional coordinates:
1 Sc 0.000 0.000 0.000 [4 per cell]
2 Sc 0.132 0.160 0.341 [16 per cell]
3 As 0.201 0.000 0.000 [8 per cell]
4 P 0.000 0.144 0.643 [8 per cell]

Entry 2:
Structure and theoretical powder XRD pattern of SiBiSe4 (a structure optimized by DFT (PBE); Cu Ka).

Most intense lines, 2θ = 10–90°, by angle:
hkl 1 0 0, 6.226 Å, I 36; hkl 1 0 2, 3.895 Å, I 46; hkl 1 1 2, 3.302 Å, I 100; hkl 2 1 2, 2.432 Å, I 29; hkl 2 0 4, 1.948 Å, I 40; hkl 3 1 2, 1.832 Å, I 29

Crystal structure
Cell lengths 6.226, 6.226, 9.987 Å; angles 90.00, 90.00, 90.00 degrees
Space group P-42c (No. 112)
Inequivalent atoms, fractional coordinates:
1 Si 0.000 0.500 0.250 [2 per cell]
2 Bi 0.000 0.000 0.000 [2 per cell]
3 Se 0.248 0.300 0.363 [8 per cell]

Entry 3:
Structure and theoretical powder XRD pattern of Ti2Rh5 (a structure optimized by DFT (PBE); Cu Ka).

Most intense lines, 2θ = 10–90°, by angle:
hkl 1 1 2, 2.475 Å, I 65; hkl 1 5 0, 2.260 Å, I 60; hkl 2 4 0, 2.169 Å, I 88; hkl 2 0 2, 2.065 Å, I 100; hkl 0 4 2, 2.045 Å, I 97; hkl 3 5 2, 1.368 Å, I 44

Crystal structure
Cell lengths 6.204, 12.135, 5.535 Å; angles 90.00, 90.00, 90.00 degrees
Space group Ibam (No. 72)
Inequivalent atoms, fractional coordinates:
1 Ti 0.220 0.122 0.000 [8 per cell]
2 Rh 0.000 0.273 0.250 [8 per cell]
3 Rh 0.000 0.500 0.250 [4 per cell]
4 Rh 0.174 0.094 0.500 [8 per cell]

Entry 4:
Structure and theoretical powder XRD pattern of Er4CdCu2Rh (a structure optimized by DFT (PBE); Cu Ka).

Most intense lines, 2θ = 10–90°, by angle:
hkl 1 0 4, 3.500 Å, I 11; hkl 1 1 0, 2.475 Å, I 100; hkl 2 0 8, 1.750 Å, I 17; hkl 3 0 0, 1.429 Å, I 26; hkl 2 2 0, 1.238 Å, I 10; hkl 3 1 8, 1.107 Å, I 13

Crystal structure
Cell lengths 4.9530, 4.9530, 24.2266 Å; angles 90.00, 90.00, 120.00 degrees
Space group R-3m (No. 166, hexagonal axes)
Inequivalent atoms, fractional coordinates:
1 Er 0.0000 0.0000 0.1173 [6 per cell]
2 Er 0.0000 0.0000 0.3691 [6 per cell]
3 Cd 0.0000 0.0000 0.5000 [3 per cell]
4 Cu 0.0000 0.0000 0.2434 [6 per cell]
5 Rh 0.0000 0.0000 0.0000 [3 per cell]

Entry 5:
Structure and theoretical powder XRD pattern of Cd2In4Sn2Hg3 (a structure optimized by DFT (PBE); Cu Ka).

Most intense lines, 2θ = 10–90°, by angle:
hkl 1 0 3, 3.235 Å, I 29; hkl 1 0 4, 2.815 Å, I 93; hkl 1 0 5, 2.458 Å, I 38; hkl 1 1 0, 2.434 Å, I 100; hkl 0 2 4, 1.841 Å, I 27; hkl 2 1 4, 1.469 Å, I 26

Crystal structure
Cell lengths 4.8684, 4.8684, 15.1283 Å; angles 90.00, 90.00, 120.00 degrees
Space group P-3m1 (No. 164)
Inequivalent atoms, fractional coordinates:
1 Cd 0.3333 0.6667 0.1583 [2 per cell]
2 In 0.3333 0.6667 0.3566 [2 per cell]
3 In 0.3333 0.6667 0.9150 [2 per cell]
4 Sn 0.3333 0.6667 0.5689 [2 per cell]
5 Hg 0.0000 0.0000 0.0000 [1 per cell]
6 Hg 0.0000 0.0000 0.2553 [2 per cell]

Entry 6:
Structure and theoretical powder XRD pattern of Ce5PuAu4 (a structure optimized by DFT (PBE); Cu Ka).

Most intense lines, 2θ = 10–90°, by angle:
hkl 2 0 1, 2.639 Å, I 47; hkl 1 2 2, 2.607 Å, I 100; hkl 0 2 -1, 2.593 Å, I 54; hkl -1 2 1, 2.584 Å, I 45; hkl 1 0 3, 2.571 Å, I 51; hkl 2 -2 2, 1.828 Å, I 17

Crystal structure
Cell lengths 5.279, 6.339, 8.119 Å; angles 75.03, 71.76, 89.05 degrees
Space group P1 (No. 1)
Inequivalent atoms, fractional coordinates:
1 Ce 0.000 0.000 0.000 [1 per cell]
2 Ce 0.187 0.775 0.623 [1 per cell]
3 Ce 0.412 0.576 0.223 [1 per cell]
4 Ce 0.600 0.393 0.795 [1 per cell]
5 Ce 0.791 0.133 0.419 [1 per cell]
6 Pu 0.665 0.690 0.460 [1 per cell]
7 Au 0.006 0.491 0.047 [1 per cell]
8 Au 0.195 0.283 0.602 [1 per cell]
9 Au 0.402 0.071 0.198 [1 per cell]
10 Au 0.591 0.873 0.825 [1 per cell]